No. 1
Theoretical PXRD pattern of Sm2Co2O5 for copper Kα, from a PBE+U-relaxed structure.

Peak list (12 most intense, 15° ≤ 2θ ≤ 90°, sorted by position)
- 2θ = 22.5°, rel. 25
- 2θ = 23.4°, rel. 13
- 2θ = 31.0°, rel. 31
- 2θ = 32.7°, rel. 100
- 2θ = 32.9°, rel. 32
- 2θ = 40.8°, rel. 11
- 2θ = 42.4°, rel. 13
- 2θ = 45.9°, rel. 27
- 2θ = 47.9°, rel. 13
- 2θ = 56.3°, rel. 19
- 2θ = 58.6°, rel. 21
- 2θ = 68.5°, rel. 9

Structural model:
```
Sm2Co2O5
1.0
-7.592 2.881 2.722
7.592 -2.881 2.722
7.592 2.881 -2.722
Sm Co O
4 4 10
Cartesian
1.677 0.145 0.000
5.915 0.145 0.000
1.677 2.736 2.722
5.915 2.736 2.722
3.796 -0.344 2.874
0.000 0.000 2.623
7.592 0.000 2.623
3.796 3.224 0.153
11.387 0.628 -0.530
2.167 2.331 -0.418
5.425 2.331 -0.418
-0.354 1.496 1.314
7.946 1.496 1.314
2.167 0.549 2.304
5.425 0.549 2.304
-3.796 2.253 2.192
0.354 4.265 1.314
-0.354 1.384 4.036
```

***

No. 2
Theoretical PXRD pattern of SrSmCoO4 for copper Kα, from a PBE+U-relaxed structure.

Peak list (12 most intense, 15° ≤ 2θ ≤ 90°, sorted by position)
- 2θ = 24.4°, rel. 24
- 2θ = 31.9°, rel. 100
- 2θ = 33.3°, rel. 69
- 2θ = 43.4°, rel. 17
- 2θ = 43.6°, rel. 12
- 2θ = 44.5°, rel. 28
- 2θ = 47.8°, rel. 36
- 2θ = 55.9°, rel. 15
- 2θ = 58.6°, rel. 36
- 2θ = 66.7°, rel. 12
- 2θ = 69.8°, rel. 17
- 2θ = 79.6°, rel. 17

Structural model:
```
SrSmCoO4
1.0
-1.904 1.904 6.227
1.904 -1.904 6.227
1.904 1.904 -6.227
Sr Sm Co O
1 1 1 4
Cartesian
0.000 0.000 0.000
0.000 0.000 8.929
0.000 0.000 4.450
0.000 0.000 2.407
1.904 0.000 4.307
0.000 0.000 6.631
0.000 1.904 4.307
```

***

No. 3
Theoretical PXRD pattern of SrSmCoO4 for copper Kα, from a PBE+U-relaxed structure.

Peak list (12 most intense, 15° ≤ 2θ ≤ 90°, sorted by position)
- 2θ = 24.4°, rel. 18
- 2θ = 31.9°, rel. 100
- 2θ = 33.2°, rel. 37
- 2θ = 33.3°, rel. 36
- 2θ = 43.4°, rel. 20
- 2θ = 44.4°, rel. 15
- 2θ = 44.5°, rel. 15
- 2θ = 47.8°, rel. 37
- 2θ = 58.5°, rel. 18
- 2θ = 58.7°, rel. 20
- 2θ = 66.6°, rel. 16
- 2θ = 79.5°, rel. 13

Structural model:
```
SrSmCoO4
1.0
2.687 -6.226 0.000
2.687 6.226 0.000
0.000 0.000 5.399
Sr Sm Co O
2 2 2 8
Cartesian
2.687 4.926 4.049
2.687 -4.926 1.350
2.687 1.418 4.049
2.687 -1.418 1.350
2.687 3.118 1.350
2.687 -3.118 4.049
1.344 3.113 0.000
1.344 3.113 2.699
2.687 5.115 1.350
2.687 0.888 1.350
1.344 -3.113 0.000
1.344 -3.113 2.699
2.687 -0.888 4.049
2.687 -5.115 4.049
```

***

No. 4
Theoretical PXRD pattern of Sr3SmCo2O8 for copper Kα, from a PBE+U-relaxed structure.

Peak list (12 most intense, 15° ≤ 2θ ≤ 90°, sorted by position)
- 2θ = 31.8°, rel. 100
- 2θ = 33.3°, rel. 34
- 2θ = 33.5°, rel. 34
- 2θ = 43.1°, rel. 28
- 2θ = 44.3°, rel. 13
- 2θ = 44.4°, rel. 13
- 2θ = 47.9°, rel. 36
- 2θ = 56.6°, rel. 12
- 2θ = 58.5°, rel. 22
- 2θ = 58.7°, rel. 18
- 2θ = 66.4°, rel. 18
- 2θ = 79.0°, rel. 14

Structural model:
```
Sr3SmCo2O8
1.0
5.382 0.000 0.000
0.000 2.679 6.302
0.000 -2.679 6.302
Sr Sm Co O
3 1 2 8
Cartesian
0.000 0.000 0.000
0.000 0.000 3.666
2.691 0.000 9.983
2.691 0.000 6.408
0.000 0.000 8.152
2.691 0.000 1.856
0.000 0.000 6.140
0.000 0.000 10.119
1.350 -1.304 8.089
1.350 1.304 8.089
2.691 0.000 4.099
2.691 0.000 12.416
4.032 -1.304 8.089
4.032 1.304 8.089
```

***

No. 5
Theoretical PXRD pattern of CoSnO3 for copper Kα, from a PBE+U-relaxed structure.

Peak list (12 most intense, 15° ≤ 2θ ≤ 90°, sorted by position)
- 2θ = 18.7°, rel. 17
- 2θ = 20.1°, rel. 14
- 2θ = 22.9°, rel. 27
- 2θ = 31.7°, rel. 100
- 2θ = 33.4°, rel. 93
- 2θ = 38.6°, rel. 25
- 2θ = 46.7°, rel. 41
- 2θ = 51.4°, rel. 47
- 2θ = 58.7°, rel. 39
- 2θ = 59.8°, rel. 33
- 2θ = 68.9°, rel. 17
- 2θ = 88.4°, rel. 15

Structural model:
```
CoSnO3
1.0
2.680 1.547 4.749
-2.680 1.547 4.749
0.000 -3.094 4.749
Co Sn O
2 2 6
Cartesian
0.000 0.000 2.016
0.000 0.000 12.231
0.000 0.000 5.027
0.000 0.000 9.220
-1.070 -1.522 5.920
-1.853 0.165 8.326
-0.784 1.688 5.920
0.784 -1.688 8.326
1.853 -0.165 5.920
1.070 1.522 8.326
```